Calculated XRD peak list of CaIn for CuKα, from a DFT-relaxed cell (PBE, the Materials Project).

Most intense lines, 2θ from 10° to 90°, most intense first:
- 32.26°, I = 100, hkl 2 0 2
- 34.09°, I = 40, hkl 2 2 0
- 23.93°, I = 21, hkl 2 0 0
- 59.88°, I = 21, hkl 4 2 2
- 21.33°, I = 18, hkl 0 0 2
- 56.34°, I = 16, hkl 2 2 4
- 37.86°, I = 13, hkl 3 0 1
- 48.98°, I = 11, hkl 4 0 0
- 43.44°, I = 11, hkl 0 0 4
- 40.57°, I = 9, hkl 2 2 2

Atomic structure:
```
data_CaIn
_chemical_formula_sum 'Ca8 In8'
_space_group_name_H-M_alt 'I 4/m m m'
_space_group_IT_number 139
_space_group_name_Hall '-I 4 2'
_cell_length_a 7.438
_cell_length_b 7.438
_cell_length_c 8.333
_cell_angle_alpha 90.00
_cell_angle_beta 90.00
_cell_angle_gamma 90.00
loop_
_atom_site_label
_atom_site_fract_x
_atom_site_fract_y
_atom_site_fract_z
Ca1 0.000 0.000 0.210
Ca2 0.000 0.500 0.250
In1 0.221 0.221 0.500
```